(1)
Diffraction record for Ag6AuF12. The powder diffraction line list is calculated, not measured: it uses the GGA-PBE geometry in Alexandria and Cu Kα X-rays.

Top 6 peaks for 10° ≤ 2θ ≤ 90°, by intensity:
| 2theta | d_spacing | Rel. int. | (hkl) |
| --- | --- | --- | --- |
| 27.15 | 3.285 | 100 | 0 2 -1 |
| 26.06 | 3.419 | 100 | 1 0 -2 |
| 28.77 | 3.103 | 75 | 2 -1 0 |
| 27.91 | 3.197 | 72 | 1 1 1 |
| 31.58 | 2.833 | 40 | -1 2 1 |
| 45.36 | 2.000 | 37 | -3 1 2 |

Atomic structure:
Lattice parameters (Å, degrees): 6.656 6.895 7.223 99.73 103.34 97.85
Space group P-1 (No. 2)
Symmetry-distinct sites (fractional):
Ag  0.103  0.154  0.337 (multiplicity 2)
Ag  0.195  0.401  0.866 (multiplicity 2)
Ag  0.359  0.689  0.404 (multiplicity 2)
Au  0.500  0.000  0.000 (multiplicity 1)
F  0.086  0.803  0.424 (multiplicity 2)
F  0.154  0.461  0.178 (multiplicity 2)
F  0.195  0.016  0.907 (multiplicity 2)
F  0.355  0.403  0.619 (multiplicity 2)
F  0.435  0.713  0.016 (multiplicity 2)
F  0.446  0.111  0.353 (multiplicity 2)



(2)
Diffraction record for Si2HgH. The powder diffraction line list is calculated, not measured: it uses the GGA-PBE geometry in Alexandria and Cu Kα X-rays.

Top 6 peaks for 10° ≤ 2θ ≤ 90°, by intensity:
| 2theta | d_spacing | Rel. int. | (hkl) |
| --- | --- | --- | --- |
| 31.13 | 2.873 | 100 | 1 1 2 |
| 20.75 | 4.282 | 84 | 1 0 1 |
| 28.59 | 3.122 | 80 | 1 0 3 |
| 45.22 | 2.005 | 48 | 2 1 1 |
| 49.08 | 1.856 | 33 | 2 0 4 |
| 40.20 | 2.243 | 32 | 1 0 5 |

Atomic structure:
Lattice parameters (Å, degrees): 4.539 4.539 12.902 90.00 90.00 90.00
Space group I-42d (No. 122)
Symmetry-distinct sites (fractional):
Si  0.101  0.250  0.125 (multiplicity 8)
Hg  0.000  0.000  0.500 (multiplicity 4)
H  0.000  0.000  0.000 (multiplicity 4)



(3)
Diffraction record for MgNi5N4. The powder diffraction line list is calculated, not measured: it uses the GGA-PBE geometry in Alexandria and Cu Kα X-rays.

Top 6 peaks for 10° ≤ 2θ ≤ 90°, by intensity:
| 2theta | d_spacing | Rel. int. | (hkl) |
| --- | --- | --- | --- |
| 40.46 | 2.230 | 100 | 0 3 1 |
| 38.24 | 2.354 | 77 | 2 1 1 |
| 41.47 | 2.178 | 29 | 0 0 2 |
| 18.68 | 4.750 | 29 | 1 1 0 |
| 37.88 | 2.375 | 26 | 2 2 0 |
| 57.41 | 1.605 | 26 | 2 2 2 |

Atomic structure:
Lattice parameters (Å, degrees): 5.994 7.787 4.355 90.00 90.00 90.00
Space group Pmmn (No. 59, origin choice 2)
Symmetry-distinct sites (fractional):
Mg  0.250  0.250  0.170 (multiplicity 2)
Ni  0.031  0.583  0.235 (multiplicity 8)
Ni  0.250  0.750  0.817 (multiplicity 2)
N  0.010  0.750  0.524 (multiplicity 4)
N  0.250  0.506  0.933 (multiplicity 4)



(4)
Diffraction record for Na2LiInCl4. The powder diffraction line list is calculated, not measured: it uses the GGA-PBE geometry in Alexandria and Cu Kα X-rays.

Top 6 peaks for 10° ≤ 2θ ≤ 90°, by intensity:
| 2theta | d_spacing | Rel. int. | (hkl) |
| --- | --- | --- | --- |
| 29.79 | 2.999 | 100 | 1 3 1 |
| 31.83 | 2.811 | 39 | 1 3 2 |
| 22.81 | 3.898 | 31 | 0 2 3 |
| 14.15 | 6.258 | 30 | 0 2 1 |
| 39.43 | 2.285 | 24 | 1 1 5 |
| 28.40 | 3.143 | 23 | 0 2 4 |

Atomic structure:
Lattice parameters (Å, degrees): 4.075 13.972 14.078 90.00 90.00 90.00
Space group Cmcm (No. 63)
Symmetry-distinct sites (fractional):
Na  0.000  0.128  0.047 (multiplicity 8)
Li  0.000  0.343  0.750 (multiplicity 4)
In  0.000  0.383  0.250 (multiplicity 4)
Cl  0.000  0.070  0.250 (multiplicity 4)
Cl  0.000  0.241  0.618 (multiplicity 8)
Cl  0.000  0.500  0.000 (multiplicity 4)



(5)
Diffraction record for Ac3La4WN8. The powder diffraction line list is calculated, not measured: it uses the GGA-PBE geometry in Alexandria and Cu Kα X-rays.

Top 6 peaks for 10° ≤ 2θ ≤ 90°, by intensity:
| 2theta | d_spacing | Rel. int. | (hkl) |
| --- | --- | --- | --- |
| 29.61 | 3.017 | 100 | 2 0 2 |
| 34.41 | 2.606 | 90 | 0 2 4 |
| 29.90 | 2.989 | 32 | 0 0 6 |
| 49.27 | 1.850 | 32 | 2 2 0 |
| 58.70 | 1.573 | 32 | 2 2 6 |
| 49.64 | 1.837 | 31 | 2 0 8 |

Atomic structure:
Lattice parameters (Å, degrees): 7.3982 7.3982 17.9323 90.00 90.00 120.00
Space group R-3m (No. 166, hexagonal axes)
Symmetry-distinct sites (fractional):
Ac  0.0000  0.5000  0.0000 (multiplicity 9)
La  0.0000  0.0000  0.5000 (multiplicity 3)
La  0.0000  0.5000  0.5000 (multiplicity 9)
W  0.0000  0.0000  0.0000 (multiplicity 3)
N  0.0000  0.0000  0.2446 (multiplicity 6)
N  0.0565  0.5283  0.7382 (multiplicity 18)



(6)
Diffraction record for Pm4Nd2ThMg. The powder diffraction line list is calculated, not measured: it uses the GGA-PBE geometry in Alexandria and Cu Kα X-rays.

Top 6 peaks for 10° ≤ 2θ ≤ 90°, by intensity:
| 2theta | d_spacing | Rel. int. | (hkl) |
| --- | --- | --- | --- |
| 31.61 | 2.830 | 100 | 1 1 2 |
| 31.10 | 2.875 | 54 | 2 0 0 |
| 55.66 | 1.651 | 41 | 3 1 2 |
| 44.57 | 2.033 | 20 | 2 2 0 |
| 56.62 | 1.626 | 18 | 2 0 4 |
| 66.02 | 1.415 | 11 | 2 2 4 |

Atomic structure:
Lattice parameters (Å, degrees): 5.749 5.752 7.883 90.00 90.06 90.00
Space group P2/m (No. 10)
Symmetry-distinct sites (fractional):
Pm  0.000  0.000  0.231 (multiplicity 2)
Pm  0.500  0.500  0.233 (multiplicity 2)
Nd  0.000  0.500  0.000 (multiplicity 1)
Nd  0.500  0.000  0.500 (multiplicity 1)
Th  0.000  0.500  0.500 (multiplicity 1)
Mg  0.500  0.000  0.000 (multiplicity 1)



(7)
Diffraction record for Mg2TiCd2. The powder diffraction line list is calculated, not measured: it uses the GGA-PBE geometry in Alexandria and Cu Kα X-rays.

Top 6 peaks for 10° ≤ 2θ ≤ 90°, by intensity:
| 2theta | d_spacing | Rel. int. | (hkl) |
| --- | --- | --- | --- |
| 37.29 | 2.411 | 100 | 2 1 1 |
| 24.69 | 3.606 | 59 | 2 1 0 |
| 35.20 | 2.550 | 52 | 3 1 0 |
| 27.50 | 3.244 | 34 | 0 0 1 |
| 45.24 | 2.004 | 28 | 3 1 1 |
| 15.54 | 5.701 | 25 | 1 1 0 |

Atomic structure:
Lattice parameters (Å, degrees): 8.062 8.062 3.244 90.00 90.00 90.00
Space group P4/mbm (No. 127)
Symmetry-distinct sites (fractional):
Mg  0.172  0.328  0.000 (multiplicity 4)
Ti  0.000  0.000  0.500 (multiplicity 2)
Cd  0.130  0.630  0.500 (multiplicity 4)



(8)
Diffraction record for FePH12C4Cl4. The powder diffraction line list is calculated, not measured: it uses the GGA-PBE geometry in Alexandria and Cu Kα X-rays.

Top 6 peaks for 10° ≤ 2θ ≤ 90°, by intensity:
| 2theta | d_spacing | Rel. int. | (hkl) |
| --- | --- | --- | --- |
| 13.01 | 6.804 | 100 | 1 0 0 |
| 19.00 | 4.672 | 94 | 1 0 2 |
| 27.11 | 3.289 | 68 | 2 0 1 |
| 14.73 | 6.013 | 47 | 1 0 1 |
| 22.64 | 3.928 | 37 | 1 1 0 |
| 27.76 | 3.213 | 34 | 0 0 4 |

Atomic structure:
Lattice parameters (Å, degrees): 7.8564 7.8564 12.8538 90.00 90.00 120.00
Space group P6_3mc (No. 186)
Symmetry-distinct sites (fractional):
Fe  0.0000  0.0000  0.0000 (multiplicity 2)
P  0.3333  0.6667  0.2554 (multiplicity 2)
H  0.0093  0.3902  0.2377 (multiplicity 12)
H  0.0849  0.5424  0.1234 (multiplicity 6)
H  0.2571  0.5141  0.4230 (multiplicity 6)
C  0.0843  0.5422  0.2089 (multiplicity 6)
C  0.3333  0.6667  0.3951 (multiplicity 2)
Cl  0.0000  0.0000  0.1720 (multiplicity 2)
Cl  0.1539  0.3078  0.9443 (multiplicity 6)